Entry 1:
Diffraction record for Mg7Si4. The PXRD pattern is computed, not measured: it uses a PBE-relaxed structure and Cu Kα X-rays.
No peak broadening, texture or thermal motion is included.

Top 6 peaks for 15 to 90 degrees two-theta, low angle first:
2θ = 34.22°, I = 65; 2θ = 34.61°, I = 47; 2θ = 34.74°, I = 77; 2θ = 36.30°, I = 100; 2θ = 36.84°, I = 96; 2θ = 41.30°, I = 46

Atomic structure:
Cell: 5.4426 6.2211 13.1764 Å, 87.02 85.19 88.60°
Fractional positions:
Mg 0.0000 0.0000 0.0000
Mg 0.0053 0.0182 0.5602
Mg 0.0383 0.5036 0.9523
Mg 0.1262 0.7126 0.3725
Mg 0.2748 0.1854 0.3512
Mg 0.4678 0.2251 0.0769
Mg 0.4946 0.2836 0.5881
Mg 0.5129 0.8051 0.5330
Mg 0.5316 0.7311 0.0260
Mg 0.7213 0.9110 0.2350
Mg 0.7901 0.7562 0.7632
Mg 0.9188 0.2389 0.7672
Mg 0.9247 0.4104 0.1886
Mg 0.9859 0.5091 0.5682
Si 0.2299 0.8884 0.1851
Si 0.2832 0.5561 0.7407
Si 0.2997 0.9436 0.7265
Si 0.4227 0.5333 0.2185
Si 0.4994 0.0515 0.8753
Si 0.5310 0.4368 0.8801
Si 0.6447 0.5392 0.3806
Si 0.7570 0.1648 0.3981

Entry 2:
Diffraction record for UAlCo. The PXRD pattern is computed, not measured: it uses a PBE-relaxed structure and Cu Kα X-rays.
No peak broadening, texture or thermal motion is included.

Top 6 peaks for 15 to 90 degrees two-theta, low angle first:
2θ = 22.28°, I = 37; 2θ = 33.61°, I = 43; 2θ = 33.79°, I = 26; 2θ = 39.14°, I = 100; 2θ = 40.71°, I = 42; 2θ = 40.84°, I = 42

Atomic structure:
Cell: 7.9704 5.3335 5.3335 Å, 59.65 90.00 90.00°
Fractional positions:
U 0.1653 0.0000 0.0000
U 0.3036 0.3447 0.3447
U 0.6964 0.3447 0.3447
U 0.8347 0.0000 0.0000
Al 0.2345 0.6772 0.6772
Al 0.5000 0.3341 0.8455
Al 0.5000 0.8455 0.3341
Al 0.7655 0.6772 0.6772
Co 0.0000 0.0241 0.4972
Co 0.0000 0.4972 0.0241
Co 0.0000 0.5030 0.5030
Co 0.5000 0.8455 0.8455

Entry 3:
Diffraction record for YHoC4. The PXRD pattern is computed, not measured: it uses a PBE-relaxed structure and Cu Kα X-rays.
No peak broadening, texture or thermal motion is included.

Top 6 peaks for 15 to 90 degrees two-theta, low angle first:
2θ = 28.29°, I = 100; 2θ = 28.79°, I = 36; 2θ = 34.62°, I = 55; 2θ = 45.63°, I = 40; 2θ = 50.71°, I = 30; 2θ = 58.24°, I = 29

Atomic structure:
Cell: 4.0407 4.0407 5.1812 Å, 90.00 90.00 100.24°
Fractional positions:
Y 0.0000 0.0000 0.0000
Ho 0.5000 0.5000 0.5000
C 0.1052 0.8948 0.5000
C 0.3952 0.6048 0.0000
C 0.6048 0.3952 0.0000
C 0.8948 0.1052 0.5000

Entry 4:
Diffraction record for PrNiSnH2. The PXRD pattern is computed, not measured: it uses a PBE-relaxed structure and Cu Kα X-rays.
No peak broadening, texture or thermal motion is included.

Top 6 peaks for 15 to 90 degrees two-theta, low angle first:
2θ = 31.38°, I = 100; 2θ = 40.92°, I = 49; 2θ = 42.20°, I = 15; 2θ = 52.45°, I = 24; 2θ = 60.23°, I = 30; 2θ = 68.59°, I = 21

Atomic structure:
Cell: 4.4113 4.4113 8.5663 Å, 90.00 90.00 120.00°
Fractional positions:
Pr 0.0000 0.0000 0.0000
Pr 0.0000 0.0000 0.5000
Ni 0.3333 0.6667 0.2500
Ni 0.6667 0.3333 0.7500
Sn 0.3333 0.6667 0.7500
Sn 0.6667 0.3333 0.2500
H 0.3333 0.6667 0.0635
H 0.3333 0.6667 0.4365
H 0.6667 0.3333 0.5635
H 0.6667 0.3333 0.9365

Entry 5:
Diffraction record for Ti6Sn5. The PXRD pattern is computed, not measured: it uses a PBE-relaxed structure and Cu Kα X-rays.
No peak broadening, texture or thermal motion is included.

Top 6 peaks for 15 to 90 degrees two-theta, low angle first:
2θ = 27.06°, I = 42; 2θ = 29.32°, I = 33; 2θ = 33.30°, I = 37; 2θ = 36.96°, I = 39; 2θ = 38.59°, I = 100; 2θ = 38.70°, I = 76

Atomic structure:
Cell: 9.3071 9.3071 5.7228 Å, 90.00 90.00 120.00°
Fractional positions:
Ti 0.0000 0.5000 0.0000
Ti 0.0000 0.5000 0.5000
Ti 0.1566 0.3132 0.2500
Ti 0.1566 0.8434 0.2500
Ti 0.3132 0.1566 0.7500
Ti 0.5000 0.0000 0.0000
Ti 0.5000 0.0000 0.5000
Ti 0.5000 0.5000 0.0000
Ti 0.5000 0.5000 0.5000
Ti 0.6868 0.8434 0.2500
Ti 0.8434 0.1566 0.7500
Ti 0.8434 0.6868 0.7500
Sn 0.0000 0.0000 0.0000
Sn 0.0000 0.0000 0.5000
Sn 0.2044 0.4089 0.7500
Sn 0.2044 0.7956 0.7500
Sn 0.3333 0.6667 0.2500
Sn 0.4089 0.2044 0.2500
Sn 0.5911 0.7956 0.7500
Sn 0.6667 0.3333 0.7500
Sn 0.7956 0.2044 0.2500
Sn 0.7956 0.5911 0.2500

Entry 6:
Diffraction record for MgC2S2O2F2. The PXRD pattern is computed, not measured: it uses a PBE-relaxed structure and Cu Kα X-rays.
No peak broadening, texture or thermal motion is included.

Top 6 peaks for 15 to 90 degrees two-theta, low angle first:
2θ = 22.22°, I = 34; 2θ = 23.37°, I = 56; 2θ = 24.93°, I = 100; 2θ = 27.72°, I = 87; 2θ = 36.94°, I = 20; 2θ = 41.84°, I = 27

Atomic structure:
Cell: 4.3431 4.6049 10.0622 Å, 82.35 82.14 66.51°
Fractional positions:
Mg 0.0000 0.0000 0.0000
C 0.2008 0.2378 0.3233
C 0.7992 0.7622 0.6767
S 0.2971 0.2532 0.1482
S 0.7029 0.7468 0.8518
O 0.1981 0.6145 0.1067
O 0.8019 0.3855 0.8933
F 0.2710 0.9346 0.3708
F 0.7290 0.0654 0.6292

Entry 7:
Diffraction record for BaO2. The PXRD pattern is computed, not measured: it uses a PBE-relaxed structure and Cu Kα X-rays.
No peak broadening, texture or thermal motion is included.

Top 6 peaks for 15 to 90 degrees two-theta, low angle first:
2θ = 24.94°, I = 94; 2θ = 25.59°, I = 80; 2θ = 26.01°, I = 74; 2θ = 26.06°, I = 100; 2θ = 32.09°, I = 60; 2θ = 47.98°, I = 43

Atomic structure:
Cell: 7.8882 7.8936 8.2273 Å, 90.00 119.79 90.00°
Fractional positions:
Ba 0.0106 0.1469 0.1893
Ba 0.0106 0.3531 0.6893
Ba 0.4574 0.5122 0.2302
Ba 0.4574 0.9878 0.7302
Ba 0.5426 0.0122 0.2698
Ba 0.5426 0.4878 0.7698
Ba 0.9894 0.6469 0.3107
Ba 0.9894 0.8531 0.8107
O 0.2211 0.6868 0.6893
O 0.2211 0.8132 0.1893
O 0.2510 0.2202 0.0433
O 0.2510 0.2798 0.5433
O 0.2736 0.1084 0.9063
O 0.2736 0.3916 0.4063
O 0.2742 0.6081 0.8755
O 0.2742 0.8919 0.3755
O 0.7258 0.1081 0.6245
O 0.7258 0.3919 0.1245
O 0.7264 0.6084 0.5937
O 0.7264 0.8916 0.0937
O 0.7490 0.7202 0.4567
O 0.7490 0.7798 0.9567
O 0.7789 0.1868 0.8107
O 0.7789 0.3132 0.3107

Entry 8:
Diffraction record for YSnF7. The PXRD pattern is computed, not measured: it uses a PBE-relaxed structure and Cu Kα X-rays.
No peak broadening, texture or thermal motion is included.

Top 6 peaks for 15 to 90 degrees two-theta, low angle first:
2θ = 21.72°, I = 100; 2θ = 22.26°, I = 41; 2θ = 22.77°, I = 16; 2θ = 28.61°, I = 25; 2θ = 43.89°, I = 20; 2θ = 47.77°, I = 16

Atomic structure:
Cell: 9.0054 5.6785 12.1280 Å, 90.00 117.50 90.00°
Fractional positions:
Y 0.1864 0.2422 0.2656
Y 0.1864 0.2578 0.7656
Y 0.8136 0.7422 0.2344
Y 0.8136 0.7578 0.7344
Sn 0.2726 0.7432 0.0434
Sn 0.2726 0.7568 0.5434
Sn 0.7274 0.2432 0.4566
Sn 0.7274 0.2568 0.9566
F 0.0236 0.7414 0.9464
F 0.0236 0.7586 0.4464
F 0.0283 0.5762 0.7343
F 0.0283 0.9238 0.2343
F 0.2550 0.5407 0.1729
F 0.2550 0.9593 0.6729
F 0.2702 0.0202 0.1446
F 0.2702 0.4798 0.6446
F 0.2809 0.0503 0.4537
F 0.2809 0.4497 0.9537
F 0.2929 0.5453 0.4194
F 0.2929 0.9547 0.9194
F 0.4790 0.2282 0.3588
F 0.4790 0.2718 0.8588
F 0.5210 0.7282 0.1412
F 0.5210 0.7718 0.6412
F 0.7071 0.0453 0.0806
F 0.7071 0.4547 0.5806
F 0.7191 0.5503 0.0463
F 0.7191 0.9497 0.5463
F 0.7298 0.5202 0.3554
F 0.7298 0.9798 0.8554
F 0.7450 0.0407 0.3271
F 0.7450 0.4593 0.8271
F 0.9717 0.0762 0.7657
F 0.9717 0.4238 0.2657
F 0.9764 0.2414 0.5536
F 0.9764 0.2586 0.0536

Which formula does entry 6 have? MgC2S2O2F2